No. 1
Structure and theoretical powder diffractogram of SrLiLuPb (a crystal structure in Alexandria, relaxed with PBE; Cu Kα (λ = 1.5418 Å)).
Intensities are scaled so that the largest is 1000.

```
data_SrLiLuPb
_chemical_formula_sum 'Sr4 Li4 Lu4 Pb4'
_symmetry_space_group_name_H-M 'F -4 3 m'
_symmetry_Int_Tables_number 216
_symmetry_space_group_name_Hall 'F -4 2 3'
_cell_length_a 7.7773
_cell_length_b 7.7773
_cell_length_c 7.7773
_cell_angle_alpha 90.00
_cell_angle_beta 90.00
_cell_angle_gamma 90.00
loop_
_atom_site_label
_atom_site_type_symbol
_atom_site_fract_x
_atom_site_fract_y
_atom_site_fract_z
Sr1 Sr 0.0000 0.0000 0.0000
Li1 Li 0.2500 0.2500 0.7500
Lu1 Lu 0.0000 0.0000 0.5000
Pb1 Pb 0.2500 0.2500 0.2500
```

Main lines, low angle first (2θ from 10° to 80°):
hkl, d (Å), Rel. int.
1 1 1, 4.490, 469
2 2 0, 2.750, 1000
3 1 1, 2.345, 274
4 0 0, 1.944, 185
3 3 1, 1.784, 122
4 2 2, 1.588, 389
5 1 1, 1.497, 93
4 4 0, 1.375, 121
5 3 1, 1.315, 92
6 2 0, 1.230, 170

No. 2
Structure and theoretical powder diffractogram of LiLuPu (a crystal structure in Alexandria, relaxed with PBE; Cu Kα (λ = 1.5418 Å)).
Intensities are scaled so that the largest is 1000.

```
data_LiLuPu
_chemical_formula_sum 'Li1 Lu1 Pu1'
_symmetry_space_group_name_H-M 'P 3 m 1'
_symmetry_Int_Tables_number 156
_symmetry_space_group_name_Hall 'P 3 -2"'
_cell_length_a 3.3214
_cell_length_b 3.3214
_cell_length_c 8.2600
_cell_angle_alpha 90.00
_cell_angle_beta 90.00
_cell_angle_gamma 120.00
loop_
_atom_site_label
_atom_site_type_symbol
_atom_site_fract_x
_atom_site_fract_y
_atom_site_fract_z
Li1 Li 0.0000 0.0000 0.0000
Lu1 Lu 0.3333 0.6667 0.6704
Pu1 Pu 0.6667 0.3333 0.3327
```

Main lines, low angle first (2θ from 10° to 80°):
hkl, d (Å), Rel. int.
0 0 1, 8.260, 829
0 0 2, 4.130, 205
1 0 0, 2.876, 229
0 0 3, 2.753, 274
1 0 1, 2.716, 1000
0 1 2, 2.360, 662
1 0 3, 1.989, 164
1 0 4, 1.677, 251
1 1 0, 1.661, 188
1 1 3, 1.422, 226

No. 3
Structure and theoretical powder diffractogram of LiLuPuSi (a crystal structure in Alexandria, relaxed with PBE; Cu Kα (λ = 1.5418 Å)).
Intensities are scaled so that the largest is 1000.

```
data_LiLuPuSi
_chemical_formula_sum 'Li4 Lu4 Pu4 Si4'
_symmetry_space_group_name_H-M 'F -4 3 m'
_symmetry_Int_Tables_number 216
_symmetry_space_group_name_Hall 'F -4 2 3'
_cell_length_a 6.9654
_cell_length_b 6.9654
_cell_length_c 6.9654
_cell_angle_alpha 90.00
_cell_angle_beta 90.00
_cell_angle_gamma 90.00
loop_
_atom_site_label
_atom_site_type_symbol
_atom_site_fract_x
_atom_site_fract_y
_atom_site_fract_z
Li1 Li 0.0000 0.0000 0.0000
Lu1 Lu 0.2500 0.2500 0.2500
Pu1 Pu 0.2500 0.2500 0.7500
Si1 Si 0.0000 0.0000 0.5000
```

Main lines, low angle first (2θ from 10° to 80°):
hkl, d (Å), Rel. int.
1 1 1, 4.021, 50
2 0 0, 3.483, 884
2 2 0, 2.463, 1000
3 1 1, 2.100, 28
2 2 2, 2.011, 268
4 0 0, 1.741, 179
3 3 1, 1.598, 13
4 2 0, 1.558, 363
4 2 2, 1.422, 369
4 4 0, 1.231, 116

No. 4
Structure and theoretical powder diffractogram of LiLuSi (a crystal structure in Alexandria, relaxed with PBE; Cu Kα (λ = 1.5418 Å)).
Intensities are scaled so that the largest is 1000.

```
data_LiLuSi
_chemical_formula_sum 'Li1 Lu1 Si1'
_symmetry_space_group_name_H-M 'P -6 m 2'
_symmetry_Int_Tables_number 187
_symmetry_space_group_name_Hall 'P -6 2'
_cell_length_a 4.3534
_cell_length_b 4.3534
_cell_length_c 3.3523
_cell_angle_alpha 90.00
_cell_angle_beta 90.00
_cell_angle_gamma 120.00
loop_
_atom_site_label
_atom_site_type_symbol
_atom_site_fract_x
_atom_site_fract_y
_atom_site_fract_z
Li1 Li 0.0000 0.0000 0.0000
Lu1 Lu 0.6667 0.3333 0.5000
Si1 Si 0.3333 0.6667 0.0000
```

Main lines, low angle first (2θ from 10° to 80°):
hkl, d (Å), Rel. int.
1 0 0, 3.770, 980
0 0 1, 3.352, 189
1 0 1, 2.505, 1000
1 1 0, 2.177, 390
2 0 0, 1.885, 148
1 1 1, 1.826, 212
2 0 1, 1.643, 279
1 0 2, 1.532, 153
1 1 2, 1.328, 161
2 1 1, 1.311, 264

No. 5
Structure and theoretical powder diffractogram of Li4TmLu (a crystal structure in Alexandria, relaxed with PBE; Cu Kα (λ = 1.5418 Å)).
Intensities are scaled so that the largest is 1000.

```
data_Li4TmLu
_chemical_formula_sum 'Li16 Tm4 Lu4'
_symmetry_space_group_name_H-M 'F -4 3 m'
_symmetry_Int_Tables_number 216
_symmetry_space_group_name_Hall 'F -4 2 3'
_cell_length_a 8.1681
_cell_length_b 8.1681
_cell_length_c 8.1681
_cell_angle_alpha 90.00
_cell_angle_beta 90.00
_cell_angle_gamma 90.00
loop_
_atom_site_label
_atom_site_type_symbol
_atom_site_fract_x
_atom_site_fract_y
_atom_site_fract_z
Li1 Li 0.1251 0.1251 0.1251
Tm1 Tm 0.2500 0.2500 0.7500
Lu1 Lu 0.0000 0.0000 0.5000
```

Main lines, low angle first (2θ from 10° to 80°):
hkl, d (Å), Rel. int.
1 1 1, 4.716, 1000
2 2 0, 2.888, 977
3 1 1, 2.463, 687
4 0 0, 2.042, 162
3 3 1, 1.874, 259
4 2 2, 1.667, 390
5 1 1, 1.572, 233
4 4 0, 1.444, 136
5 3 1, 1.381, 192
6 2 0, 1.291, 168

No. 6
Structure and theoretical powder diffractogram of Li4Mg (a crystal structure in Alexandria, relaxed with PBE; Cu Kα (λ = 1.5418 Å)).
Intensities are scaled so that the largest is 1000.

```
data_Li4Mg
_chemical_formula_sum 'Li8 Mg2'
_symmetry_space_group_name_H-M 'P 1 21/c 1'
_symmetry_Int_Tables_number 14
_symmetry_space_group_name_Hall '-P 2ybc'
_cell_length_a 5.6943
_cell_length_b 4.8747
_cell_length_c 8.2798
_cell_angle_alpha 90.00
_cell_angle_beta 119.07
_cell_angle_gamma 90.00
loop_
_atom_site_label
_atom_site_type_symbol
_atom_site_fract_x
_atom_site_fract_y
_atom_site_fract_z
Li1 Li 0.1152 0.0012 0.2044
Li2 Li 0.2930 0.5008 0.0967
Mg1 Mg 0.5000 0.0000 0.0000
```

Main lines, low angle first (2θ from 10° to 80°):
hkl, d (Å), Rel. int.
1 0 0, 4.977, 449
0 1 1, 4.043, 508
1 0 -2, 3.991, 246
1 1 -1, 3.662, 405
1 1 1, 2.789, 229
0 2 0, 2.436, 1000
1 0 2, 2.420, 327
1 1 -3, 2.402, 643
1 2 2, 1.717, 226
2 3 -1, 1.406, 279

No. 7
Structure and theoretical powder diffractogram of LiMg (a crystal structure in Alexandria, relaxed with PBE; Cu Kα (λ = 1.5418 Å)).
Intensities are scaled so that the largest is 1000.

```
data_LiMg
_chemical_formula_sum 'Li4 Mg4'
_symmetry_space_group_name_H-M 'I m m a'
_symmetry_Int_Tables_number 74
_symmetry_space_group_name_Hall '-I 2b 2'
_cell_length_a 3.5010
_cell_length_b 4.8573
_cell_length_c 9.5868
_cell_angle_alpha 90.00
_cell_angle_beta 90.00
_cell_angle_gamma 90.00
loop_
_atom_site_label
_atom_site_type_symbol
_atom_site_fract_x
_atom_site_fract_y
_atom_site_fract_z
Li1 Li 0.0000 0.2500 0.1339
Mg1 Mg 0.0000 0.2500 0.6160
```

Main lines, low angle first (2θ from 10° to 80°):
hkl, d (Å), Rel. int.
0 1 1, 4.333, 439
1 0 1, 3.289, 305
0 1 3, 2.670, 224
1 1 2, 2.443, 1000
0 2 0, 2.429, 249
0 0 4, 2.397, 227
1 2 1, 1.954, 132
0 2 4, 1.706, 156
1 3 2, 1.405, 164
1 1 6, 1.393, 143

No. 8
Structure and theoretical powder diffractogram of Li5Mg3 (a crystal structure in Alexandria, relaxed with PBE; Cu Kα (λ = 1.5418 Å)).
Intensities are scaled so that the largest is 1000.

```
data_Li5Mg3
_chemical_formula_sum 'Li10 Mg6'
_symmetry_space_group_name_H-M 'C m m m'
_symmetry_Int_Tables_number 65
_symmetry_space_group_name_Hall '-C 2 2'
_cell_length_a 7.8999
_cell_length_b 8.9209
_cell_length_c 4.6309
_cell_angle_alpha 90.00
_cell_angle_beta 90.00
_cell_angle_gamma 90.00
loop_
_atom_site_label
_atom_site_type_symbol
_atom_site_fract_x
_atom_site_fract_y
_atom_site_fract_z
Li1 Li 0.0000 0.0000 0.0000
Li2 Li 0.2451 0.0000 0.5000
Li3 Li 0.2500 0.2500 0.0000
Mg1 Mg 0.0000 0.2546 0.5000
Mg2 Mg 0.0000 0.5000 0.0000
```

Main lines, low angle first (2θ from 10° to 80°):
hkl, d (Å), Rel. int.
1 1 0, 5.914, 208
2 0 0, 3.950, 317
0 2 1, 3.213, 369
2 2 1, 2.492, 1000
0 0 2, 2.315, 202
0 4 0, 2.230, 179
4 0 0, 1.975, 130
0 4 2, 1.606, 125
2 2 3, 1.368, 141
2 6 1, 1.333, 126